1.
The following is a theoretical X-ray diffraction stick pattern of Sm2ZnIr. It was derived from a cell relaxed with GGA-PBE, using a wavelength of 1.5418 Å.
Intensities are scaled so that the largest is 100.

Largest 10 diffraction maxima, by intensity, 2θ from 10° to 90°:
two_theta  I_rel
35.66  100.0
64.05  36.3
51.31  17.8
86.41  16.2
75.51  11.2
21.61  10.1
42.08  5.6
56.31  2.5
79.64  2.0
68.45  1.9

Structure:
Cell: 7.122 7.122 7.122 Å, 90.00 90.00 90.00°
Space group Fm-3m (No. 225)
One atom of each set of equivalent atoms:
Sm: 0.250 0.250 0.250 x8
Zn: 0.000 0.000 0.000 x4
Ir: 0.000 0.000 0.500 x4



2.
The following is a theoretical X-ray diffraction stick pattern of Sn7Ir3. It was derived from a cell relaxed with GGA-PBE, using a wavelength of 1.5418 Å.
Intensities are scaled so that the largest is 100.

Largest 10 diffraction maxima, by intensity, 2θ from 10° to 90°:
two_theta  I_rel
40.18  100.0
73.02  38.3
32.58  34.7
22.88  29.6
35.27  24.9
58.13  20.4
46.74  19.8
82.26  18.6
63.30  16.1
59.88  9.9

Structure:
Cell: 9.522 9.522 9.522 Å, 90.00 90.00 90.00°
Space group Im-3m (No. 229)
One atom of each set of equivalent atoms:
Sn: 0.000 0.250 0.500 x12
Sn: 0.165 0.165 0.165 x16
Ir: 0.000 0.000 0.342 x12



3.
The following is a theoretical X-ray diffraction stick pattern of SnIr3. It was derived from a cell relaxed with GGA-PBE, using a wavelength of 1.5418 Å.
Intensities are scaled so that the largest is 100.

Largest 10 diffraction maxima, by intensity, 2θ from 10° to 90°:
two_theta  I_rel
41.74  100.0
39.73  25.6
36.49  24.1
79.58  20.9
73.47  19.4
65.68  17.7
55.04  15.0
80.91  15.0
85.61  3.0
18.01  2.9

Structure:
Cell: 5.6860 5.6860 4.5379 Å, 90.00 90.00 120.00°
Space group P6_3/mmc (No. 194)
One atom of each set of equivalent atoms:
Sn: 0.3333 0.6667 0.2500 x2
Ir: 0.1628 0.3256 0.7500 x6



4.
The following is a theoretical X-ray diffraction stick pattern of Sn4Ir. It was derived from a cell relaxed with GGA-PBE, using a wavelength of 1.5418 Å.
Intensities are scaled so that the largest is 100.

Largest 10 diffraction maxima, by intensity, 2θ from 10° to 90°:
two_theta  I_rel
41.98  100.0
33.30  92.9
45.37  88.2
30.36  75.8
36.82  69.8
15.27  46.5
66.35  37.6
21.02  35.9
31.87  35.5
39.73  32.3

Structure:
Cell: 6.417 6.417 23.212 Å, 90.00 90.00 90.00°
Space group I4_1/acd (No. 142, origin choice 2)
One atom of each set of equivalent atoms:
Sn: 0.173 0.076 0.438 x32
Ir: 0.000 0.250 0.125 x8



5.
The following is a theoretical X-ray diffraction stick pattern of Sn4Ir. It was derived from a cell relaxed with GGA-PBE, using a wavelength of 1.5418 Å.
Intensities are scaled so that the largest is 100.

Largest 10 diffraction maxima, by intensity, 2θ from 10° to 90°:
two_theta  I_rel
42.18  100.0
34.84  98.9
30.51  77.2
32.09  61.7
15.43  48.5
45.18  46.4
45.30  46.1
21.00  36.1
66.27  35.8
31.88  35.7

Structure:
Cell: 6.447 11.484 6.426 Å, 90.00 90.00 90.00°
Space group Ccce (No. 68, origin choice 2)
One atom of each set of equivalent atoms:
Sn: 0.173 0.125 0.077 x16
Ir: 0.000 0.250 0.750 x4



6.
The following is a theoretical X-ray diffraction stick pattern of Sn7Ir5. It was derived from a cell relaxed with GGA-PBE, using a wavelength of 1.5418 Å.
Intensities are scaled so that the largest is 100.

Largest 10 diffraction maxima, by intensity, 2θ from 10° to 90°:
two_theta  I_rel
40.29  100.0
41.64  54.1
39.91  48.8
26.70  46.5
16.96  29.7
75.07  24.8
42.72  21.7
84.12  20.5
60.35  15.9
69.16  15.2

Structure:
Cell: 8.677 8.677 6.548 Å, 90.00 90.00 90.00°
Space group I4mm (No. 107)
One atom of each set of equivalent atoms:
Sn: 0.000 0.000 0.000 x2
Sn: 0.000 0.500 0.486 x4
Sn: 0.215 0.215 0.390 x8
Ir: 0.000 0.000 0.401 x2
Ir: 0.000 0.243 0.724 x8



7.
The following is a theoretical X-ray diffraction stick pattern of SnIr. It was derived from a cell relaxed with GGA-PBE, using a wavelength of 1.5418 Å.
Intensities are scaled so that the largest is 100.

Largest 10 diffraction maxima, by intensity, 2θ from 10° to 90°:
two_theta  I_rel
40.99  100.0
44.97  59.7
25.51  45.3
30.05  40.7
80.22  29.6
62.46  29.5
83.30  21.2
82.96  10.7
55.03  7.7
55.24  7.6

Structure:
Cell: 4.0318 4.0318 5.6736 Å, 90.00 90.00 120.00°
Space group P6_3/mmc (No. 194)
One atom of each set of equivalent atoms:
Sn: 0.3333 0.6667 0.2500 x2
Ir: 0.0000 0.0000 0.0000 x2



8.
The following is a theoretical X-ray diffraction stick pattern of USnIr. It was derived from a cell relaxed with GGA-PBE, using a wavelength of 1.5418 Å.
Intensities are scaled so that the largest is 100.

Largest 10 diffraction maxima, by intensity, 2θ from 10° to 90°:
two_theta  I_rel
35.75  100.0
32.79  79.2
37.22  33.9
42.43  30.1
67.97  27.6
44.62  26.1
43.59  22.5
63.26  18.9
59.46  18.0
56.66  17.2

Structure:
Cell: 7.3800 7.3800 4.0617 Å, 90.00 90.00 120.00°
Space group P-62m (No. 189)
One atom of each set of equivalent atoms:
U: 0.0000 0.5837 0.0000 x3
Sn: 0.0000 0.2529 0.5000 x3
Ir: 0.0000 0.0000 0.0000 x1
Ir: 0.3333 0.6667 0.5000 x2



Copy entry 3 word for word.
The following is a theoretical X-ray diffraction stick pattern of SnIr3. It was derived from a cell relaxed with GGA-PBE, using a wavelength of 1.5418 Å.
Intensities are scaled so that the largest is 100.

Largest 10 diffraction maxima, by intensity, 2θ from 10° to 90°:
two_theta  I_rel
41.74  100.0
39.73  25.6
36.49  24.1
79.58  20.9
73.47  19.4
65.68  17.7
55.04  15.0
80.91  15.0
85.61  3.0
18.01  2.9

Structure:
Cell: 5.6860 5.6860 4.5379 Å, 90.00 90.00 120.00°
Space group P6_3/mmc (No. 194)
One atom of each set of equivalent atoms:
Sn: 0.3333 0.6667 0.2500 x2
Ir: 0.1628 0.3256 0.7500 x6